Theoretical X-ray diffraction stick pattern
Compound: VNi3H4
Radiation: Cu Kα, 1.54184 Å
Structure: DFT lattice parameters and positions (PBE)
Intensities are scaled so that the largest is 100.

Structure:
Unit cell a=3.8151 b=3.8151 c=7.4849 alpha=90.00 beta=90.00 gamma=90.00
Space group I4/mmm (No. 139)
Inequivalent atoms, fractional coordinates:
V (0.0000, 0.0000, 0.0000)
Ni (0.0000, 0.0000, 0.5000)
Ni (0.0000, 0.5000, 0.2500)
H (0.0000, 0.0000, 0.2598)
H (0.0000, 0.5000, 0.0000)

Most intense lines, 2θ from 10° to 90°, by angle:
2θ = 26.22°, 3.399 Å, I 1, hkl 1 0 1
2θ = 41.25°, 2.188 Å, I 100, hkl 1 1 2
2θ = 47.68°, 1.908 Å, I 35, hkl 2 0 0
2θ = 48.66°, 1.871 Å, I 16, hkl 0 0 4
2θ = 69.72°, 1.349 Å, I 10, hkl 2 2 0
2θ = 70.50°, 1.336 Å, I 19, hkl 2 0 4
2θ = 84.35°, 1.148 Å, I 22, hkl 3 1 2
2θ = 85.82°, 1.132 Å, I 11, hkl 1 1 6
2θ = 89.59°, 1.094 Å, I 10, hkl 2 2 4